Structure and theoretical powder XRD pattern of Ba3In2Sn7 (the PBE geometry in Alexandria; Cu Kα).

Structural model:
```
data_Ba3In2Sn7
_chemical_formula_sum 'Ba3 In2 Sn7'
_cell_length_a 11.147
_cell_length_b 11.147
_cell_length_c 11.147
_cell_angle_alpha 34.14
_cell_angle_beta 34.14
_cell_angle_gamma 34.14
_symmetry_space_group_name_H-M 'P 1'
_symmetry_Int_Tables_number 1
_symmetry_space_group_name_Hall 'P 1'
loop_
_atom_site_label
_atom_site_type_symbol
_atom_site_fract_x
_atom_site_fract_y
_atom_site_fract_z
Ba1 Ba 0.000 0.000 0.000
Ba2 Ba 0.140 0.140 0.140
Ba3 Ba 0.860 0.860 0.860
In1 In 0.336 0.336 0.336
In2 In 0.664 0.664 0.664
Sn1 Sn 0.077 0.586 0.586
Sn2 Sn 0.414 0.414 0.923
Sn3 Sn 0.414 0.923 0.414
Sn4 Sn 0.500 0.500 0.500
Sn5 Sn 0.586 0.077 0.586
Sn6 Sn 0.586 0.586 0.077
Sn7 Sn 0.923 0.414 0.414
```

Principal peaks in the range 2θ from 10° to 90°, by angle:
2θ (°), d/Å, Rel. int.
27.25, 3.272, 26
27.61, 3.231, 24
31.70, 2.823, 32
32.25, 2.776, 100
34.20, 2.622, 23
34.72, 2.584, 34
51.41, 1.777, 27
56.22, 1.636, 30
67.48, 1.388, 20
79.64, 1.204, 15

---

Structure and theoretical powder XRD pattern of Tb4Pm4Pr3 (the PBE geometry in Alexandria; Cu Kα).

Structural model:
```
data_Tb4Pm4Pr3
_chemical_formula_sum 'Tb4 Pm4 Pr3'
_cell_length_a 12.227
_cell_length_b 12.227
_cell_length_c 12.227
_cell_angle_alpha 162.88
_cell_angle_beta 134.14
_cell_angle_gamma 49.30
_symmetry_space_group_name_H-M 'P 1'
_symmetry_Int_Tables_number 1
_symmetry_space_group_name_Hall 'P 1'
loop_
_atom_site_label
_atom_site_type_symbol
_atom_site_fract_x
_atom_site_fract_y
_atom_site_fract_z
Tb1 Tb 0.183 0.000 0.183
Tb2 Tb 0.241 0.241 0.000
Tb3 Tb 0.759 0.759 0.000
Tb4 Tb 0.817 0.000 0.817
Pm1 Pm 0.176 0.854 0.322
Pm2 Pm 0.469 0.146 0.322
Pm3 Pm 0.531 0.854 0.678
Pm4 Pm 0.824 0.146 0.678
Pr1 Pr 0.109 0.609 0.500
Pr2 Pr 0.500 0.500 0.000
Pr3 Pr 0.891 0.391 0.500
```

Principal peaks in the range 2θ from 10° to 90°, by angle:
2θ (°), d/Å, Rel. int.
30.61, 2.921, 88
30.82, 2.901, 100
31.18, 2.869, 51
32.22, 2.778, 30
37.60, 2.392, 22
38.48, 2.340, 23
42.26, 2.138, 27
56.52, 1.628, 32
57.01, 1.615, 29
59.88, 1.545, 18